# Mg5Ta
Calculated powder diffraction line list, Cu Kα X-rays. Input: a crystal structure in OQMD, relaxed with GGA-PBE.

Peak list (10 most intense, 2θ from 10° to 80°, by intensity)
(hkl), d (Å), I (rel.)
1 3 0, 5.218, 100
0 0 1, 5.535, 76
1 7 0, 2.509, 68
0 4 0, 4.523, 66
4 2 0, 2.501, 62
1 3 -1, 4.062, 57
1 3 -2, 2.583, 42
2 0 -1, 4.381, 40
4 2 -1, 2.519, 33
2 2 1, 3.176, 31

Structure:
```
data_Mg5Ta
_symmetry_space_group_name_H-M 'C 1 2/m 1'
_symmetry_Int_Tables_number 12
_symmetry_space_group_name_Hall '-C 2y'
_cell_length_a 10.7587
_cell_length_b 18.1045
_cell_length_c 5.7177
_cell_angle_alpha 90.00
_cell_angle_beta 104.53
_cell_angle_gamma 90.00
loop_
_atom_site_label
_atom_site_fract_x
_atom_site_fract_y
_atom_site_fract_z
Mg1 0.0704 0.1464 0.2817
Mg2 0.1161 0.4227 0.8985
Mg3 0.1203 0.0000 0.6499
Mg4 0.1321 0.5000 0.4289
Mg5 0.1375 0.3092 0.5243
Mg6 0.2053 0.1818 0.8770
Ta1 0.0000 0.2846 0.0000
Ta2 0.1201 0.0000 0.1310
```

---

# Tb3Mg2
Calculated powder diffraction line list, Cu Kα X-rays. Input: a crystal structure in OQMD, relaxed with GGA-PBE.

Peak list (10 most intense, 2θ from 10° to 80°, by intensity)
(hkl), d (Å), I (rel.)
1 1 3, 2.926, 100
3 0 0, 2.688, 65
2 2 3, 1.979, 32
4 1 3, 1.594, 32
1 1 0, 4.656, 32
3 0 6, 1.541, 20
5 2 3, 1.221, 13
3 3 0, 1.552, 12
1 1 6, 1.744, 7
6 0 0, 1.344, 7

Structure:
```
data_Tb3Mg2
_symmetry_space_group_name_H-M 'R -3 c'
_symmetry_Int_Tables_number 167
_symmetry_space_group_name_Hall '-R 3 2"c'
_cell_length_a 9.3117
_cell_length_b 9.3117
_cell_length_c 11.2823
_cell_angle_alpha 90.00
_cell_angle_beta 90.00
_cell_angle_gamma 120.00
loop_
_atom_site_label
_atom_site_fract_x
_atom_site_fract_y
_atom_site_fract_z
Tb1 0.0000 0.3257 0.2500
Mg1 0.0000 0.0000 0.1243
```

---

# TbMg
Calculated powder diffraction line list, Cu Kα X-rays. Input: a crystal structure in OQMD, relaxed with GGA-PBE.

Peak list (9 most intense, 2θ from 10° to 80°, by intensity)
(hkl), d (Å), I (rel.)
1 1 0, 2.683, 100
1 0 0, 3.795, 63
2 1 1, 1.549, 38
2 1 0, 1.697, 27
1 1 1, 2.191, 19
2 0 0, 1.897, 18
3 1 0, 1.200, 16
3 0 0, 1.265, 13
2 2 0, 1.342, 12

Structure:
```
data_TbMg
_symmetry_space_group_name_H-M 'P m -3 m'
_symmetry_Int_Tables_number 221
_symmetry_space_group_name_Hall '-P 4 2 3'
_cell_length_a 3.7946
_cell_length_b 3.7946
_cell_length_c 3.7946
_cell_angle_alpha 90.00
_cell_angle_beta 90.00
_cell_angle_gamma 90.00
loop_
_atom_site_label
_atom_site_fract_x
_atom_site_fract_y
_atom_site_fract_z
Tb1 0.0000 0.0000 0.0000
Mg1 0.5000 0.5000 0.5000
```

---

# Mg2Tc
Calculated powder diffraction line list, Cu Kα X-rays. Input: a crystal structure in OQMD, relaxed with GGA-PBE.

Peak list (10 most intense, 2θ from 10° to 80°, by intensity)
(hkl), d (Å), I (rel.)
1 1 1, 2.214, 100
1 1 0, 2.504, 39
0 0 1, 4.738, 38
1 0 0, 4.336, 27
0 0 2, 2.369, 25
1 1 2, 1.721, 24
1 1 3, 1.336, 19
1 0 1, 3.199, 18
3 0 2, 1.234, 17
3 0 0, 1.445, 15

Structure:
```
data_Mg2Tc
_symmetry_space_group_name_H-M 'P -6 2 m'
_symmetry_Int_Tables_number 189
_symmetry_space_group_name_Hall 'P -6 -2'
_cell_length_a 5.0073
_cell_length_b 5.0073
_cell_length_c 4.7376
_cell_angle_alpha 90.00
_cell_angle_beta 90.00
_cell_angle_gamma 120.00
loop_
_atom_site_label
_atom_site_fract_x
_atom_site_fract_y
_atom_site_fract_z
Mg1 0.0000 0.0000 0.0000
Mg2 0.0000 0.3544 0.5000
Tc1 0.3333 0.6667 0.0000
```

---

# Mg2Tc
Calculated powder diffraction line list, Cu Kα X-rays. Input: a crystal structure in OQMD, relaxed with GGA-PBE.

Peak list (10 most intense, 2θ from 10° to 80°, by intensity)
(hkl), d (Å), I (rel.)
1 3 1, 2.184, 100
0 0 1, 5.268, 77
1 0 2, 2.306, 74
2 0 0, 2.387, 51
1 1 0, 4.142, 46
1 1 1, 3.257, 33
0 3 1, 2.455, 30
1 3 0, 2.399, 21
2 3 3, 1.260, 21
3 3 1, 1.336, 19

Structure:
```
data_Mg2Tc
_symmetry_space_group_name_H-M 'P m m n'
_symmetry_Int_Tables_number 59
_cell_length_a 4.7747
_cell_length_b 8.3259
_cell_length_c 5.2680
_cell_angle_alpha 90.00
_cell_angle_beta 90.00
_cell_angle_gamma 90.00
loop_
_symmetry_equiv_pos_as_xyz
'x,y,z'
'-x,-y,-z'
'-x+1/2,-y+1/2,z'
'x+1/2,y+1/2,-z'
'x+1/2,-y,-z'
'-x+1/2,y,z'
'-x,y+1/2,-z'
'x,-y+1/2,z'
loop_
_atom_site_label
_atom_site_fract_x
_atom_site_fract_y
_atom_site_fract_z
Mg1 0.2500 0.0744 0.1218
Mg2 0.2500 0.2500 0.5948
Mg3 0.2500 0.7500 0.0796
Tc1 0.2500 0.6023 0.5845
```

---

# Mg4Tc3
Calculated powder diffraction line list, Cu Kα X-rays. Input: a crystal structure in OQMD, relaxed with GGA-PBE.

Peak list (10 most intense, 2θ from 10° to 80°, by intensity)
(hkl), d (Å), I (rel.)
1 1 0, 6.943, 100
2 4 1, 2.225, 96
3 1 1, 2.290, 55
0 0 2, 2.236, 52
2 2 0, 3.472, 51
0 2 0, 6.598, 40
3 3 1, 2.055, 38
1 5 1, 2.190, 36
0 2 1, 3.701, 36
1 1 1, 3.759, 32

Structure:
```
data_Mg4Tc3
_symmetry_space_group_name_H-M 'C m c m'
_symmetry_Int_Tables_number 63
_symmetry_space_group_name_Hall '-C 2c 2'
_cell_length_a 8.1648
_cell_length_b 13.1953
_cell_length_c 4.4715
_cell_angle_alpha 90.00
_cell_angle_beta 90.00
_cell_angle_gamma 90.00
loop_
_atom_site_label
_atom_site_fract_x
_atom_site_fract_y
_atom_site_fract_z
Mg1 0.0000 0.1231 0.2500
Mg2 0.0000 0.3249 0.2500
Mg3 0.2182 0.0718 0.7500
Tc1 0.0000 0.4410 0.7500
Tc2 0.1845 0.2854 0.7500
```

---

# Mg5Tc
Calculated powder diffraction line list, Cu Kα X-rays. Input: a crystal structure in OQMD, relaxed with GGA-PBE.

Peak list (10 most intense, 2θ from 10° to 80°, by intensity)
(hkl), d (Å), I (rel.)
1 1 1, 2.312, 100
1 0 0, 4.562, 50
1 0 1, 3.315, 32
1 1 0, 2.634, 31
0 0 2, 2.413, 25
1 1 2, 1.779, 19
1 1 3, 1.373, 18
3 0 2, 1.287, 18
3 0 0, 1.521, 16
0 0 1, 4.826, 16

Structure:
```
data_Mg5Tc
_symmetry_space_group_name_H-M 'P -6 2 m'
_symmetry_Int_Tables_number 189
_symmetry_space_group_name_Hall 'P -6 -2'
_cell_length_a 5.2679
_cell_length_b 5.2679
_cell_length_c 4.8262
_cell_angle_alpha 90.00
_cell_angle_beta 90.00
_cell_angle_gamma 120.00
loop_
_atom_site_label
_atom_site_fract_x
_atom_site_fract_y
_atom_site_fract_z
Mg1 0.0000 0.3110 0.0000
Mg2 0.3333 0.6667 0.5000
Tc1 0.0000 0.0000 0.5000
```

---

# MgZnTe2
Calculated powder diffraction line list, Cu Kα X-rays. Input: a crystal structure in OQMD, relaxed with GGA-PBE.

Peak list (10 most intense, 2θ from 10° to 80°, by intensity)
(hkl), d (Å), I (rel.)
1 0 1, 3.659, 100
1 1 2, 2.243, 43
2 1 1, 1.909, 32
2 0 0, 2.237, 22
1 0 3, 1.916, 15
3 1 2, 1.293, 14
2 1 3, 1.455, 12
1 1 0, 3.164, 11
2 2 0, 1.582, 7
3 2 1, 1.218, 7

Structure:
```
data_MgZnTe2
_symmetry_space_group_name_H-M 'P -4 m 2'
_symmetry_Int_Tables_number 115
_symmetry_space_group_name_Hall 'P -4 -2'
_cell_length_a 4.4739
_cell_length_b 4.4739
_cell_length_c 6.3593
_cell_angle_alpha 90.00
_cell_angle_beta 90.00
_cell_angle_gamma 90.00
loop_
_atom_site_label
_atom_site_fract_x
_atom_site_fract_y
_atom_site_fract_z
Mg1 0.0000 0.0000 0.0000
Zn1 0.5000 0.5000 0.5000
Te1 0.0000 0.5000 0.2635
```